Entry 1:
Calculated X-ray diffraction stick pattern of SrMg2Bi2 for Cu Ka, from a structure optimized by DFT (PBE).

Peak list (10 most intense, 5 to 70 degrees two-theta, sorted by position)
- (0 0 2), 22.1°, d = 4.017 Å, I = 17
- (1 0 1), 23.8°, d = 3.733 Å, I = 100
- (1 0 2), 30.7°, d = 2.908 Å, I = 40
- (1 1 0), 36.9°, d = 2.434 Å, I = 43
- (0 1 3), 39.9°, d = 2.260 Å, I = 35
- (1 1 2), 43.5°, d = 2.081 Å, I = 19
- (0 2 1), 44.4°, d = 2.039 Å, I = 20
- (2 1 1), 59.1°, d = 1.563 Å, I = 18
- (1 1 4), 59.7°, d = 1.549 Å, I = 15
- (1 2 3), 68.5°, d = 1.369 Å, I = 15

Atomic structure:
```
data_SrMg2Bi2
_chemical_formula_sum 'Sr1 Mg2 Bi2'
_cell_length_a 4.8673
_cell_length_b 4.8673
_cell_length_c 8.0338
_cell_angle_alpha 90.00
_cell_angle_beta 90.00
_cell_angle_gamma 120.00
_symmetry_space_group_name_H-M 'P -3 m 1'
_symmetry_Int_Tables_number 164
_symmetry_space_group_name_Hall '-P 3 2"'
loop_
_atom_site_label
_atom_site_type_symbol
_atom_site_fract_x
_atom_site_fract_y
_atom_site_fract_z
_atom_site_occupancy
Sr1 Sr 0.0000 0.0000 0.0000 1
Mg1 Mg 0.3333 0.6667 0.3752 1
Bi1 Bi 0.3333 0.6667 0.7471 1
```


Entry 2:
Calculated X-ray diffraction stick pattern of Cs for Cu Ka, from a structure optimized by DFT (PBE).

Peak list (10 most intense, 5 to 70 degrees two-theta, sorted by position)
- (1 0 1), 17.9°, d = 4.958 Å, I = 100
- (0 0 4), 19.1°, d = 4.652 Å, I = 43
- (1 0 3), 22.5°, d = 3.960 Å, I = 59
- (1 1 2), 26.3°, d = 3.388 Å, I = 79
- (1 0 5), 29.6°, d = 3.015 Å, I = 29
- (2 0 0), 34.9°, d = 2.572 Å, I = 19
- (1 1 6), 38.1°, d = 2.361 Å, I = 44
- (2 1 1), 39.5°, d = 2.283 Å, I = 26
- (2 0 4), 40.1°, d = 2.251 Å, I = 25
- (2 1 3), 41.9°, d = 2.157 Å, I = 22

Atomic structure:
```
data_Cs
_chemical_formula_sum 'Cs4'
_cell_length_a 5.1444
_cell_length_b 5.1444
_cell_length_c 18.6092
_cell_angle_alpha 90.00
_cell_angle_beta 90.00
_cell_angle_gamma 90.00
_symmetry_space_group_name_H-M 'I 41/a m d'
_symmetry_Int_Tables_number 141
loop_
_symmetry_equiv_pos_as_xyz
'x,y,z'
'-x,-y,-z'
'-y+1/4,x+3/4,z+1/4'
'y+1/4,-x+3/4,-z+1/4'
'-x+1/2,-y,z+1/2'
'x+1/2,y,-z+1/2'
'y+1/4,-x+1/4,z+3/4'
'-y+1/4,x+1/4,-z+3/4'
'x,-y,-z'
'-x,y,z'
'-y+1/4,-x+1/4,-z+3/4'
'y+1/4,x+1/4,z+3/4'
'-x+1/2,y,-z+1/2'
'x+1/2,-y,z+1/2'
'y+1/4,x+3/4,-z+1/4'
'-y+1/4,-x+3/4,z+1/4'
'x+1/2,y+1/2,z+1/2'
'-x+1/2,-y+1/2,-z+1/2'
'-y+3/4,x+1/4,z+3/4'
'y+3/4,-x+1/4,-z+3/4'
'-x,-y+1/2,z'
'x,y+1/2,-z'
'y+3/4,-x+3/4,z+1/4'
'-y+3/4,x+3/4,-z+1/4'
'x+1/2,-y+1/2,-z+1/2'
'-x+1/2,y+1/2,z+1/2'
'-y+3/4,-x+3/4,-z+1/4'
'y+3/4,x+3/4,z+1/4'
'-x,y+1/2,-z'
'x,-y+1/2,z'
'y+3/4,x+1/4,-z+3/4'
'-y+3/4,-x+1/4,z+3/4'
loop_
_atom_site_label
_atom_site_type_symbol
_atom_site_fract_x
_atom_site_fract_y
_atom_site_fract_z
_atom_site_occupancy
Cs1 Cs 0.0000 0.2500 0.3750 1
```


Entry 3:
Calculated X-ray diffraction stick pattern of NbSe3 for Cu Ka, from a structure optimized by DFT (PBE).

Peak list (10 most intense, 5 to 70 degrees two-theta, sorted by position)
- (1 0 0), 8.7°, d = 10.185 Å, I = 100
- (2 0 0), 17.4°, d = 5.092 Å, I = 34
- (2 1 -1), 30.4°, d = 2.942 Å, I = 28
- (2 1 0), 30.9°, d = 2.893 Å, I = 31
- (2 1 -3), 32.8°, d = 2.728 Å, I = 34
- (0 0 6), 35.9°, d = 2.502 Å, I = 34
- (3 1 0), 36.8°, d = 2.442 Å, I = 28
- (2 1 3), 38.7°, d = 2.328 Å, I = 24
- (2 1 -6), 43.3°, d = 2.090 Å, I = 26
- (0 2 0), 52.0°, d = 1.758 Å, I = 27

Atomic structure:
```
data_NbSe3
_chemical_formula_sum 'Nb6 Se18'
_cell_length_a 10.7495
_cell_length_b 3.5152
_cell_length_c 15.8433
_cell_angle_alpha 90.00
_cell_angle_beta 108.65
_cell_angle_gamma 90.00
_symmetry_space_group_name_H-M 'P 1 21/m 1'
_symmetry_Int_Tables_number 11
loop_
_symmetry_equiv_pos_as_xyz
'x,y,z'
'-x,-y,-z'
'-x,y+1/2,-z'
'x,-y+1/2,z'
loop_
_atom_site_label
_atom_site_type_symbol
_atom_site_fract_x
_atom_site_fract_y
_atom_site_fract_z
_atom_site_occupancy
Nb1 Nb 0.1479 0.2500 0.1155 1
Nb2 Nb 0.1639 0.2500 0.7889 1
Nb3 Nb 0.1943 0.7500 0.5373 1
Se1 Se 0.0337 0.2500 0.2497 1
Se2 Se 0.0499 0.2500 0.9310 1
Se3 Se 0.0513 0.2500 0.5929 1
Se4 Se 0.2429 0.2500 0.4239 1
Se5 Se 0.2922 0.7500 0.2327 1
Se6 Se 0.2949 0.7500 0.7201 1
Se7 Se 0.3063 0.7500 0.9054 1
Se8 Se 0.3121 0.7500 0.0787 1
Se9 Se 0.3922 0.2500 0.5744 1
```


Entry 4:
Calculated X-ray diffraction stick pattern of PdSe for Cu Ka, from a structure optimized by DFT (PBE).

Peak list (10 most intense, 5 to 70 degrees two-theta, sorted by position)
- (3 1 1), 27.0°, d = 3.305 Å, I = 22
- (1 1 2), 27.2°, d = 3.279 Å, I = 30
- (3 2 1), 30.1°, d = 2.973 Å, I = 33
- (4 0 0), 30.3°, d = 2.951 Å, I = 100
- (4 0 1), 32.9°, d = 2.724 Å, I = 30
- (3 2 2), 37.3°, d = 2.410 Å, I = 20
- (4 0 2), 39.7°, d = 2.272 Å, I = 32
- (5 1 2), 46.8°, d = 1.940 Å, I = 41
- (4 4 2), 50.7°, d = 1.800 Å, I = 31
- (0 0 4), 51.2°, d = 1.783 Å, I = 22

Atomic structure:
```
data_PdSe
_chemical_formula_sum 'Pd24 Se24'
_cell_length_a 11.7915
_cell_length_b 11.7915
_cell_length_c 7.1332
_cell_angle_alpha 90.00
_cell_angle_beta 90.00
_cell_angle_gamma 90.00
_symmetry_space_group_name_H-M 'P 42/m b c'
_symmetry_Int_Tables_number 135
_symmetry_space_group_name_Hall '-P 4c 2ab'
loop_
_atom_site_label
_atom_site_type_symbol
_atom_site_fract_x
_atom_site_fract_y
_atom_site_fract_z
_atom_site_occupancy
Pd1 Pd 0.0455 0.1300 0.0000 1
Pd2 Pd 0.1131 0.6131 0.2500 1
Pd3 Pd 0.1426 0.2689 0.5000 1
Se1 Se 0.0963 0.4037 0.2500 1
Se2 Se 0.1102 0.8231 0.2236 1
```


Entry 5:
Calculated X-ray diffraction stick pattern of Co3W3N for Cu Ka, from a structure optimized by DFT (PBE).

Peak list (10 most intense, 5 to 70 degrees two-theta, sorted by position)
- (1 1 1), 13.9°, d = 6.380 Å, I = 5
- (2 2 0), 22.8°, d = 3.907 Å, I = 16
- (4 0 0), 32.4°, d = 2.763 Å, I = 38
- (3 3 1), 35.4°, d = 2.535 Å, I = 25
- (4 2 2), 40.0°, d = 2.256 Å, I = 57
- (3 3 3), 42.5°, d = 2.127 Å, I = 100
- (4 4 0), 46.5°, d = 1.953 Å, I = 56
- (5 5 1), 59.8°, d = 1.547 Å, I = 15
- (7 3 1), 64.8°, d = 1.439 Å, I = 18
- (7 3 3), 69.6°, d = 1.350 Å, I = 17

Atomic structure:
Lattice parameters (Å, degrees): 11.0503 11.0503 11.0503 90.00 90.00 90.00
Space group Fd-3m (No. 227, origin choice 2)
Inequivalent atoms, fractional coordinates:
Co 0.0000 0.0000 0.0000 x16
Co 0.0434 0.0434 0.2066 x32
W 0.0792 0.3750 0.8750 x48
N 0.0000 0.0000 0.5000 x16


Entry 6:
Calculated X-ray diffraction stick pattern of Ni3Bi2Se2 for Cu Ka, from a structure optimized by DFT (PBE).

Peak list (10 most intense, 5 to 70 degrees two-theta, sorted by position)
- (0 2 0), 21.6°, d = 4.113 Å, I = 35
- (0 0 2), 30.1°, d = 2.971 Å, I = 40
- (2 2 0), 30.7°, d = 2.908 Å, I = 95
- (2 2 -2), 31.0°, d = 2.889 Å, I = 100
- (4 0 -2), 31.8°, d = 2.817 Å, I = 50
- (0 2 2), 37.3°, d = 2.408 Å, I = 52
- (4 2 -2), 38.8°, d = 2.324 Å, I = 49
- (0 4 0), 44.0°, d = 2.056 Å, I = 77
- (4 0 -4), 44.6°, d = 2.031 Å, I = 38
- (4 4 -4), 64.5°, d = 1.444 Å, I = 22

Atomic structure:
```
data_Ni3Bi2Se2
_chemical_formula_sum 'Ni12 Bi8 Se8'
_cell_length_a 11.2694
_cell_length_b 8.2205
_cell_length_c 8.1341
_cell_angle_alpha 90.00
_cell_angle_beta 133.07
_cell_angle_gamma 90.00
_symmetry_space_group_name_H-M 'C 1 2/m 1'
_symmetry_Int_Tables_number 12
loop_
_symmetry_equiv_pos_as_xyz
'x,y,z'
'-x,-y,-z'
'-x,y,-z'
'x,-y,z'
'x+1/2,y+1/2,z'
'-x+1/2,-y+1/2,-z'
'-x+1/2,y+1/2,-z'
'x+1/2,-y+1/2,z'
loop_
_atom_site_label
_atom_site_type_symbol
_atom_site_fract_x
_atom_site_fract_y
_atom_site_fract_z
_atom_site_occupancy
Ni1 Ni 0.0000 0.2270 0.0000 1
Ni2 Ni 0.0169 0.5000 0.2885 1
Ni3 Ni 0.2500 0.2500 0.0000 1
Bi1 Bi 0.2158 0.5000 0.1993 1
Bi2 Bi 0.2493 0.0000 0.2427 1
Se1 Se 0.0254 0.2189 0.3071 1
```